Structure and theoretical powder XRD pattern of La3Ga2Ni4 (a cell relaxed with PBE; λ = 1.5418 Å (Cu Kα)).
Peak positions follow from Bragg's law for the DFT cell and can differ from measured ones.

Largest 10 diffraction maxima, most intense first, 10° ≤ 2θ ≤ 80°:
| 2theta | d/Å | I (rel.) | (hkl) |
| --- | --- | --- | --- |
| 34.30 | 2.614 | 100 | 3 1 0 |
| 25.82 | 3.451 | 82 | 1 1 1 |
| 41.12 | 2.195 | 81 | 1 1 3 |
| 42.70 | 2.117 | 76 | 0 2 0 |
| 30.55 | 2.926 | 74 | 1 1 -2 |
| 38.49 | 2.339 | 65 | 3 1 -2 |
| 34.69 | 2.586 | 63 | 2 0 -3 |
| 36.05 | 2.492 | 55 | 4 0 -1 |
| 39.28 | 2.294 | 44 | 4 0 1 |
| 57.08 | 1.614 | 38 | 4 2 -1 |

Cell and atoms:
abc: 10.0833 4.2346 8.3858
angles: 90.00 98.57 90.00
Space group C2/m (No. 12)
Inequivalent atoms, fractional coordinates:
La1 0.0000 0.0000 0.0000 [2 per cell]
La2 0.1234 0.5000 0.3806 [4 per cell]
Ga1 0.1810 0.5000 0.7870 [4 per cell]
Ni1 0.0871 0.0000 0.6376 [4 per cell]
Ni2 0.2378 0.5000 0.0860 [4 per cell]

Structure and theoretical powder XRD pattern of LaYCu2SiGe (a cell relaxed with PBE; λ = 1.5418 Å (Cu Kα)).
Peak positions follow from Bragg's law for the DFT cell and can differ from measured ones.

Largest 10 diffraction maxima, most intense first, 10° ≤ 2θ ≤ 80°:
| 2theta | d/Å | I (rel.) | (hkl) |
| --- | --- | --- | --- |
| 33.45 | 2.679 | 100 | 1 0 2 |
| 42.62 | 2.121 | 46 | 1 1 0 |
| 64.82 | 1.438 | 24 | 1 1 4 |
| 55.24 | 1.663 | 23 | 0 2 2 |
| 72.18 | 1.309 | 20 | 2 1 2 |
| 24.22 | 3.674 | 12 | 1 0 0 |
| 46.41 | 1.957 | 11 | 0 0 4 |
| 78.02 | 1.225 | 7 | 3 0 0 |
| 26.81 | 3.326 | 7 | 0 1 1 |
| 77.68 | 1.229 | 7 | 1 0 6 |

Cell and atoms:
abc: 4.2425 4.2425 7.8265
angles: 90.00 90.00 120.00
Space group P3m1 (No. 156)
Inequivalent atoms, fractional coordinates:
La1 0.0000 0.0000 0.0000 [1 per cell]
Y1 0.0000 0.0000 0.4962 [1 per cell]
Cu1 0.3333 0.6667 0.2696 [1 per cell]
Cu2 0.6667 0.3333 0.7257 [1 per cell]
Si1 0.6667 0.3333 0.2614 [1 per cell]
Ge1 0.3333 0.6667 0.7333 [1 per cell]

Structure and theoretical powder XRD pattern of Ta3GaB2 (a cell relaxed with PBE; λ = 1.5418 Å (Cu Kα)).
Peak positions follow from Bragg's law for the DFT cell and can differ from measured ones.

Largest 10 diffraction maxima, most intense first, 10° ≤ 2θ ≤ 80°:
| 2theta | d/Å | I (rel.) | (hkl) |
| --- | --- | --- | --- |
| 37.35 | 2.408 | 100 | 1 0 4 |
| 32.18 | 2.782 | 43 | 1 0 1 |
| 40.18 | 2.244 | 39 | 1 0 5 |
| 56.66 | 1.624 | 32 | 1 1 0 |
| 70.74 | 1.332 | 25 | 1 1 8 |
| 38.71 | 2.326 | 24 | 0 0 8 |
| 55.12 | 1.666 | 18 | 1 0 9 |
| 69.85 | 1.347 | 16 | 2 0 4 |
| 35.02 | 2.562 | 15 | 1 0 3 |
| 69.17 | 1.358 | 12 | 1 0 12 |

Cell and atoms:
abc: 3.2488 3.2488 18.6106
angles: 90.00 90.00 120.00
Space group P6_3/mmc (No. 194)
Inequivalent atoms, fractional coordinates:
Ta1 0.0000 0.0000 0.0000 [2 per cell]
Ta2 0.3333 0.6667 0.1365 [4 per cell]
Ga1 0.0000 0.0000 0.2500 [2 per cell]
B1 0.3333 0.6667 0.5726 [4 per cell]

Structure and theoretical powder XRD pattern of Li6Hf4O11 (a cell relaxed with PBE; λ = 1.5418 Å (Cu Kα)).
Peak positions follow from Bragg's law for the DFT cell and can differ from measured ones.

Largest 10 diffraction maxima, most intense first, 10° ≤ 2θ ≤ 80°:
| 2theta | d/Å | I (rel.) | (hkl) |
| --- | --- | --- | --- |
| 18.49 | 4.799 | 100 | 1 0 1 |
| 17.63 | 5.030 | 26 | 0 1 0 |
| 38.84 | 2.319 | 23 | 1 1 4 |
| 31.45 | 2.844 | 22 | 0 1 3 |
| 21.16 | 4.199 | 18 | 1 1 1 |
| 35.70 | 2.515 | 18 | 0 2 0 |
| 33.78 | 2.653 | 17 | 1 1 -2 |
| 40.43 | 2.231 | 15 | 2 1 -1 |
| 45.71 | 1.985 | 15 | 1 -2 1 |
| 22.00 | 4.040 | 15 | 1 1 0 |

Cell and atoms:
abc: 5.2936 5.3207 9.6198
angles: 76.37 75.37 73.91
Space group P1 (No. 1)
Inequivalent atoms, fractional coordinates:
Li1 0.0000 0.0000 0.0000 [1 per cell]
Li2 0.0683 0.3889 0.8118 [1 per cell]
Li3 0.2603 0.9657 0.6289 [1 per cell]
Li4 0.4014 0.0639 0.2776 [1 per cell]
Li5 0.5351 0.4176 0.4259 [1 per cell]
Li6 0.8638 0.3564 0.1425 [1 per cell]
Hf1 0.1404 0.6784 0.2496 [1 per cell]
Hf2 0.4593 0.6229 0.9174 [1 per cell]
Hf3 0.6567 0.1509 0.7501 [1 per cell]
Hf4 0.8484 0.6948 0.5625 [1 per cell]
O1 0.0950 0.6164 0.0512 [1 per cell]
O2 0.1430 0.0429 0.1661 [1 per cell]
O3 0.1953 0.7599 0.4506 [1 per cell]
O4 0.3151 0.0248 0.8579 [1 per cell]
O5 0.4252 0.5514 0.7306 [1 per cell]
O6 0.4879 0.4154 0.2300 [1 per cell]
O7 0.6036 0.0721 0.5598 [1 per cell]
O8 0.7201 0.2632 0.9352 [1 per cell]
O9 0.7833 0.6386 0.3766 [1 per cell]
O10 0.8292 0.7530 0.7860 [1 per cell]
O11 0.9826 0.3001 0.6387 [1 per cell]

Structure and theoretical powder XRD pattern of Ta5Al24 (a cell relaxed with PBE; λ = 1.5418 Å (Cu Kα)).
Peak positions follow from Bragg's law for the DFT cell and can differ from measured ones.

Largest 10 diffraction maxima, most intense first, 10° ≤ 2θ ≤ 80°:
| 2theta | d/Å | I (rel.) | (hkl) |
| --- | --- | --- | --- |
| 39.18 | 2.299 | 100 | 3 3 0 |
| 22.32 | 3.982 | 46 | 2 1 1 |
| 12.83 | 6.898 | 37 | 1 1 0 |
| 34.40 | 2.607 | 29 | 3 2 1 |
| 71.01 | 1.327 | 25 | 6 3 3 |
| 58.31 | 1.582 | 17 | 5 3 2 |
| 25.83 | 3.449 | 17 | 2 2 0 |
| 45.56 | 1.991 | 15 | 4 2 2 |
| 56.61 | 1.626 | 11 | 6 0 0 |
| 67.95 | 1.380 | 11 | 5 5 0 |

Cell and atoms:
abc: 9.7549 9.7549 9.7549
angles: 90.00 90.00 90.00
Space group I-43m (No. 217)
Inequivalent atoms, fractional coordinates:
Ta1 0.0000 0.0000 0.0000 [2 per cell]
Ta2 0.1802 0.1802 0.1802 [8 per cell]
Al1 0.0432 0.3613 0.6387 [24 per cell]
Al2 0.0931 0.0931 0.7179 [24 per cell]

Structure and theoretical powder XRD pattern of Er2Zn3GaCo2 (a cell relaxed with PBE; λ = 1.5418 Å (Cu Kα)).
Peak positions follow from Bragg's law for the DFT cell and can differ from measured ones.

Largest 10 diffraction maxima, most intense first, 10° ≤ 2θ ≤ 80°:
| 2theta | d/Å | I (rel.) | (hkl) |
| --- | --- | --- | --- |
| 35.16 | 2.553 | 100 | 1 1 2 |
| 38.55 | 2.336 | 38 | 3 1 -1 |
| 38.68 | 2.328 | 36 | 3 1 1 |
| 45.43 | 1.996 | 31 | 0 2 0 |
| 36.39 | 2.469 | 19 | 3 1 0 |
| 40.25 | 2.241 | 18 | 4 0 -1 |
| 40.42 | 2.232 | 18 | 4 0 1 |
| 25.11 | 3.547 | 15 | 0 0 2 |
| 24.21 | 3.676 | 14 | 1 1 0 |
| 42.67 | 2.119 | 14 | 2 0 -3 |

Cell and atoms:
abc: 9.4252 3.9926 7.0943
angles: 90.00 90.37 90.00
Space group Cm (No. 8)
Inequivalent atoms, fractional coordinates:
Er1 0.0000 0.0000 0.0000 [2 per cell]
Er2 0.1331 0.0000 0.4995 [2 per cell]
Zn1 0.2098 0.5000 0.8100 [2 per cell]
Zn2 0.2156 0.5000 0.1960 [2 per cell]
Zn3 0.4189 0.0000 0.3051 [2 per cell]
Ga1 0.4184 0.0000 0.6957 [2 per cell]
Co1 0.2860 0.0000 0.9980 [2 per cell]
Co2 0.3529 0.5000 0.5089 [2 per cell]

Structure and theoretical powder XRD pattern of CoSb3S6 (a cell relaxed with PBE; λ = 1.5418 Å (Cu Kα)).
Peak positions follow from Bragg's law for the DFT cell and can differ from measured ones.

Largest 10 diffraction maxima, most intense first, 10° ≤ 2θ ≤ 80°:
| 2theta | d/Å | I (rel.) | (hkl) |
| --- | --- | --- | --- |
| 40.36 | 2.235 | 100 | 1 1 4 |
| 30.29 | 2.951 | 92 | 1 1 2 |
| 26.19 | 3.402 | 88 | 1 1 0 |
| 14.95 | 5.925 | 75 | 0 0 2 |
| 46.22 | 1.964 | 42 | 3 0 0 |
| 56.22 | 1.636 | 31 | 3 0 4 |
| 27.22 | 3.277 | 29 | 1 0 3 |
| 63.00 | 1.475 | 22 | 2 2 4 |
| 48.84 | 1.865 | 22 | 3 0 2 |
| 38.10 | 2.362 | 20 | 2 0 3 |

Cell and atoms:
abc: 6.8046 6.8046 11.8548
angles: 90.00 90.00 120.00
Space group P6_322 (No. 182)
Inequivalent atoms, fractional coordinates:
Co1 0.3333 0.6667 0.2500 [2 per cell]
Sb1 0.0000 0.0000 0.0000 [2 per cell]
Sb2 0.3333 0.6667 0.5228 [4 per cell]
S1 0.0819 0.3822 0.3685 [12 per cell]

Structure and theoretical powder XRD pattern of Dy3Fe8Co (a cell relaxed with PBE; λ = 1.5418 Å (Cu Kα)).
Peak positions follow from Bragg's law for the DFT cell and can differ from measured ones.

Largest 10 diffraction maxima, most intense first, 10° ≤ 2θ ≤ 80°:
| 2theta | d/Å | I (rel.) | (hkl) |
| --- | --- | --- | --- |
| 42.21 | 2.141 | 100 | 1 1 6 |
| 35.54 | 2.526 | 57 | 1 1 0 |
| 33.01 | 2.714 | 52 | 1 0 7 |
| 41.44 | 2.179 | 38 | 0 2 1 |
| 36.08 | 2.489 | 36 | 0 1 8 |
| 68.40 | 1.372 | 23 | 3 0 6 |
| 75.23 | 1.263 | 20 | 2 2 0 |
| 62.22 | 1.492 | 17 | 2 1 7 |
| 64.18 | 1.451 | 13 | 1 2 8 |
| 69.25 | 1.357 | 13 | 2 0 14 |

Cell and atoms:
abc: 5.0521 5.0521 24.2140
angles: 90.00 90.00 120.00
Space group R-3m (No. 166, hexagonal axes)
Inequivalent atoms, fractional coordinates:
Dy1 0.0000 0.0000 0.0000 [3 per cell]
Dy2 0.0000 0.0000 0.1420 [6 per cell]
Fe1 0.0000 0.0000 0.3327 [6 per cell]
Fe2 0.0004 0.5002 0.0814 [18 per cell]
Co1 0.0000 0.0000 0.5000 [3 per cell]

Structure and theoretical powder XRD pattern of Ni31As12 (a cell relaxed with PBE; λ = 1.5418 Å (Cu Kα)).
Peak positions follow from Bragg's law for the DFT cell and can differ from measured ones.

Largest 10 diffraction maxima, most intense first, 10° ≤ 2θ ≤ 80°:
| 2theta | d/Å | I (rel.) | (hkl) |
| --- | --- | --- | --- |
| 46.15 | 1.967 | 100 | 3 0 0 |
| 44.73 | 2.026 | 93 | 1 1 5 |
| 41.96 | 2.153 | 21 | 0 2 4 |
| 41.10 | 2.196 | 18 | 1 2 1 |
| 55.02 | 1.669 | 14 | 0 3 4 |
| 66.23 | 1.411 | 13 | 2 2 5 |
| 50.12 | 1.820 | 13 | 2 1 4 |
| 51.10 | 1.788 | 9 | 1 1 6 |
| 76.61 | 1.244 | 9 | 3 2 4 |
| 47.45 | 1.916 | 8 | 0 2 5 |

Cell and atoms:
abc: 6.8135 6.8135 12.5988
angles: 90.00 90.00 120.00
Space group P321 (No. 150)
Inequivalent atoms, fractional coordinates:
Ni1 0.0000 0.0000 0.0000 [1 per cell]
Ni2 0.0000 0.0000 0.4027 [2 per cell]
Ni3 0.0311 0.3563 0.1979 [6 per cell]
Ni4 0.0362 0.7027 0.6983 [6 per cell]
Ni5 0.0707 0.6921 0.9053 [6 per cell]
Ni6 0.0824 0.4150 0.4065 [6 per cell]
Ni7 0.3333 0.6667 0.0732 [2 per cell]
Ni8 0.3333 0.6667 0.5750 [2 per cell]
As1 0.0000 0.0000 0.2126 [2 per cell]
As2 0.0000 0.3515 0.0000 [3 per cell]
As3 0.0000 0.6804 0.5000 [3 per cell]
As4 0.3333 0.6667 0.2735 [2 per cell]
As5 0.3333 0.6667 0.7692 [2 per cell]

Structure and theoretical powder XRD pattern of UB7Mo3 (a cell relaxed with PBE; λ = 1.5418 Å (Cu Kα)).
Peak positions follow from Bragg's law for the DFT cell and can differ from measured ones.

Largest 10 diffraction maxima, most intense first, 10° ≤ 2θ ≤ 80°:
| 2theta | d/Å | I (rel.) | (hkl) |
| --- | --- | --- | --- |
| 33.20 | 2.698 | 100 | 2 1 0 |
| 41.46 | 2.178 | 57 | 1 1 4 |
| 33.99 | 2.638 | 43 | 2 1 1 |
| 29.06 | 3.073 | 33 | 1 0 4 |
| 22.34 | 3.980 | 31 | 1 0 3 |
| 43.74 | 2.070 | 26 | 3 1 3 |
| 60.25 | 1.536 | 19 | 6 1 2 |
| 43.03 | 2.102 | 18 | 3 0 5 |
| 37.21 | 2.416 | 15 | 3 0 4 |
| 63.20 | 1.471 | 12 | 5 1 5 |

Cell and atoms:
abc: 11.0586 3.0873 12.7961
angles: 90.00 90.00 90.00
Space group Pnma (No. 62)
Inequivalent atoms, fractional coordinates:
U1 0.0511 0.2500 0.1936 [4 per cell]
B1 0.0103 0.7500 0.3621 [4 per cell]
B2 0.0364 0.7500 0.0184 [4 per cell]
B3 0.0674 0.7500 0.6156 [4 per cell]
B4 0.1658 0.7500 0.3312 [4 per cell]
B5 0.1841 0.7500 0.0697 [4 per cell]
B6 0.2321 0.7500 0.5836 [4 per cell]
B7 0.2475 0.2500 0.3264 [4 per cell]
Mo1 0.1162 0.2500 0.4726 [4 per cell]
Mo2 0.1601 0.2500 0.9369 [4 per cell]
Mo3 0.1826 0.2500 0.7051 [4 per cell]